This entry pairs a crystal structure of Pr2Ge4Ru3 with its theoretical powder diffraction line list. Radiation: a wavelength of 1.5418 Å. Structure: DFT lattice parameters and positions (PBE).
Lines closer than 0.1° are merged.

Crystal structure
```
Pr2Ge4Ru3
1.0
0.0000 4.9514 6.2919
2.8322 0.0000 6.2919
2.8322 4.9514 0.0000
Pr Ge Ru
2 4 3
direct
0.1330 0.1330 0.8670
0.8670 0.8670 0.1330
0.1745 0.5209 0.4791
0.4791 0.8255 0.1745
0.5209 0.1745 0.8255
0.8255 0.4791 0.5209
0.0000 0.0000 0.5000
0.5000 0.5000 0.0000
0.5000 0.5000 0.5000
```

The 10 most intense peaks (2θ from 15° to 90°), by angle:
d/Å  intensity
3.191  23.1
2.832  25.2
2.781  27.8
2.458  26.0
2.358  100.0
2.290  27.3
2.105  35.1
2.097  19.5
1.527  25.3
1.426  20.4